Simulated powder diffractogram of TbMg4 for Cu Kα, 1.54184 Å, from a DFT-relaxed cell (PBE, Alexandria).

Principal peaks in the range 2θ from 5° to 70°, sorted by position:
2θ (°)	d/Å	I_rel	index
12.34	7.171	88.8	2 0 0
18.32	4.842	77.4	0 0 1
24.83	3.585	24.4	4 0 0
25.43	3.502	44.0	4 0 -1
31.50	2.840	31.7	1 1 -1
32.27	2.774	52.2	3 1 0
33.95	2.641	100.0	1 1 1
34.88	2.572	33.1	2 0 -2
35.84	2.505	59.6	4 0 1
48.25	1.886	33.7	5 1 -2

Structure:
Cell: 15.2267 3.4069 5.1442 Å, 90.00 109.63 90.00°
Space group C2/m (No. 12)
Unique sites:
Tb  0.0000  0.0000  0.0000 (multiplicity 2)
Mg  0.1018  0.5000  0.6013 (multiplicity 4)
Mg  0.2126  0.5000  0.2125 (multiplicity 4)